Simulated XRD peak list
Compound: Hf3Cu4Pb4
Radiation: Cu Kα (weighted mean of Kα1 and Kα2)
Structure: a GGA-PBE-relaxed structure

Cell and atoms:
```
data_Hf3Cu4Pb4
_chemical_formula_sum 'Hf3 Cu4 Pb4'
_cell_length_a 6.656
_cell_length_b 4.428
_cell_length_c 7.831
_cell_angle_alpha 90.00
_cell_angle_beta 91.62
_cell_angle_gamma 90.00
_space_group_name_H-M_alt 'P 1 m 1'
_space_group_IT_number 6
_space_group_name_Hall 'P -2y'
loop_
_atom_site_label
_atom_site_fract_x
_atom_site_fract_y
_atom_site_fract_z
Hf1 0.000 0.000 0.000
Hf2 0.012 0.500 0.472
Hf3 0.513 0.000 0.990
Cu1 0.146 0.500 0.821
Cu2 0.193 0.000 0.323
Cu3 0.797 0.500 0.139
Cu4 0.871 0.000 0.660
Pb1 0.292 0.500 0.159
Pb2 0.297 0.000 0.652
Pb3 0.707 0.500 0.788
Pb4 0.717 0.000 0.337
```

The 10 most intense peaks (10° ≤ 2θ ≤ 90°), in order of rising 2θ:
d (Å), 2θ/deg, Rel. int., (hkl)
3.416, 26.09, 21, 1 0 -2
3.315, 26.89, 44, 1 1 1
2.536, 35.40, 100, 2 1 -1
2.500, 35.92, 55, 2 0 2
2.248, 40.11, 80, 0 1 3
2.215, 40.75, 46, 0 2 0
1.658, 55.43, 28, 2 2 2
1.353, 69.50, 17, 2 2 -4
1.332, 70.72, 16, 2 3 -1
1.285, 73.75, 14, 0 3 3



Simulated XRD peak list
Compound: Zn3Os4PbO12
Radiation: Cu Kα (weighted mean of Kα1 and Kα2)
Structure: a GGA-PBE-relaxed structure

Cell and atoms:
```
data_Zn3Os4PbO12
_chemical_formula_sum 'Zn6 Os8 Pb2 O24'
_cell_length_a 7.595
_cell_length_b 7.595
_cell_length_c 7.595
_cell_angle_alpha 90.00
_cell_angle_beta 90.00
_cell_angle_gamma 90.00
_space_group_name_H-M_alt 'I m -3'
_space_group_IT_number 204
_space_group_name_Hall '-I 2 2 3'
loop_
_atom_site_label
_atom_site_fract_x
_atom_site_fract_y
_atom_site_fract_z
Zn1 0.000 0.000 0.500
Os1 0.250 0.250 0.250
Pb1 0.000 0.000 0.000
O1 0.000 0.186 0.310
```

The 10 most intense peaks (10° ≤ 2θ ≤ 90°), in order of rising 2θ:
d (Å), 2θ/deg, Rel. int., (hkl)
5.370, 16.51, 6, 1 1 0
3.797, 23.43, 13, 2 0 0
2.685, 33.37, 100, 2 2 0
2.030, 44.64, 4, 3 2 1
1.899, 47.91, 23, 4 0 0
1.698, 54.00, 6, 4 0 2
1.550, 59.64, 44, 4 2 2
1.343, 70.09, 13, 4 4 0
1.201, 79.88, 18, 6 0 2
1.096, 89.38, 5, 4 4 4



Simulated XRD peak list
Compound: GdCl3
Radiation: Cu Kα (weighted mean of Kα1 and Kα2)
Structure: a GGA-PBE-relaxed structure

Cell and atoms:
```
data_GdCl3
_chemical_formula_sum 'Gd2 Cl6'
_cell_length_a 7.3679
_cell_length_b 7.3679
_cell_length_c 4.1259
_cell_angle_alpha 90.00
_cell_angle_beta 90.00
_cell_angle_gamma 120.00
_space_group_name_H-M_alt 'P 63/m'
_space_group_IT_number 176
_space_group_name_Hall '-P 6c'
loop_
_atom_site_label
_atom_site_fract_x
_atom_site_fract_y
_atom_site_fract_z
Gd1 0.3333 0.6667 0.2500
Cl1 0.0882 0.3906 0.7500
```

The 10 most intense peaks (10° ≤ 2θ ≤ 90°), in order of rising 2θ:
d (Å), 2θ/deg, Rel. int., (hkl)
6.381, 13.88, 100, 1 0 0
3.684, 24.16, 46, 1 1 0
3.465, 25.71, 66, 1 0 1
3.190, 27.97, 17, 2 0 0
2.748, 32.59, 19, 1 1 1
2.524, 35.57, 86, 2 0 1
2.127, 42.50, 32, 3 0 0
2.082, 43.46, 72, 2 1 1
1.481, 62.75, 19, 3 0 2
1.380, 67.95, 25, 2 3 1